Entry 1:
Calculated XRD peak list
Compound: LiNi5Rh
Radiation: Cu Kα (weighted mean of Kα1 and Kα2)
Structure: a PBE-relaxed structure

Structural model:
```
data_LiNi5Rh
_cell_length_a 5.9175
_cell_length_b 6.8544
_cell_length_c 8.5816
_cell_angle_alpha 90.00
_cell_angle_beta 108.26
_cell_angle_gamma 90.00
_symmetry_space_group_name_H-M 'C 1 2/c 1'
_symmetry_Int_Tables_number 15
loop_
_symmetry_equiv_pos_as_xyz
'x,y,z'
'-x,-y,-z'
'-x,y,-z+1/2'
'x,-y,z+1/2'
'x+1/2,y+1/2,z'
'-x+1/2,-y+1/2,-z'
'-x+1/2,y+1/2,-z+1/2'
'x+1/2,-y+1/2,z+1/2'
loop_
_atom_site_label
_atom_site_type_symbol
_atom_site_fract_x
_atom_site_fract_y
_atom_site_fract_z
Li1 Li 0.2500 0.2500 0.0000
Ni1 Ni 0.0000 0.1428 0.7500
Ni2 Ni 0.1073 0.4591 0.6526
Ni3 Ni 0.1829 0.0965 0.5441
Rh1 Rh 0.0000 0.2162 0.2500
```

Main lines, low angle first (2θ from 10° to 90°):
Position (°2θ)  I/Imax  hkl
20.7  67  1 1 -1
42.1  47  2 2 -2
42.7  47  1 3 0
44.3  85  1 1 -4
44.5  97  2 0 2
45.5  100  1 3 1
46.8  34  2 2 -3
48.6  62  3 1 -2


Entry 2:
Calculated XRD peak list
Compound: Er2AgHg2
Radiation: Cu Kα (weighted mean of Kα1 and Kα2)
Structure: a PBE-relaxed structure

Structural model:
```
data_Er2AgHg2
_cell_length_a 7.8970
_cell_length_b 7.8970
_cell_length_c 3.9391
_cell_angle_alpha 90.00
_cell_angle_beta 90.00
_cell_angle_gamma 90.00
_symmetry_space_group_name_H-M 'P 4/m b m'
_symmetry_Int_Tables_number 127
_symmetry_space_group_name_Hall '-P 4 2ab'
loop_
_atom_site_label
_atom_site_type_symbol
_atom_site_fract_x
_atom_site_fract_y
_atom_site_fract_z
Er1 Er 0.1652 0.3348 0.0000
Ag1 Ag 0.0000 0.0000 0.5000
Hg1 Hg 0.1364 0.6364 0.5000
```

Main lines, low angle first (2θ from 10° to 90°):
Position (°2θ)  I/Imax  hkl
15.9  10  1 1 0
32.1  13  2 0 1
34.1  100  2 1 1
36.0  36  3 1 0
46.1  13  0 0 2
53.2  10  4 1 1
59.8  17  3 1 2
68.2  18  5 2 1


Entry 3:
Calculated XRD peak list
Compound: AcTb2Sm5Ho
Radiation: Cu Kα (weighted mean of Kα1 and Kα2)
Structure: a PBE-relaxed structure

Structural model:
```
data_AcTb2Sm5Ho
_cell_length_a 9.1766
_cell_length_b 9.1766
_cell_length_c 15.0457
_cell_angle_alpha 90.00
_cell_angle_beta 90.00
_cell_angle_gamma 90.00
_symmetry_space_group_name_H-M 'I 4/m c m'
_symmetry_Int_Tables_number 140
_symmetry_space_group_name_Hall '-I 4 2c'
loop_
_atom_site_label
_atom_site_type_symbol
_atom_site_fract_x
_atom_site_fract_y
_atom_site_fract_z
Ac1 Ac 0.0000 0.0000 0.2500
Tb1 Tb 0.1122 0.3878 0.0000
Sm1 Sm 0.0000 0.0000 0.0000
Sm2 Sm 0.2009 0.2991 0.3732
Ho1 Ho 0.0000 0.5000 0.2500
```

Main lines, low angle first (2θ from 10° to 90°):
Position (°2θ)  I/Imax  hkl
27.5  43  2 2 0
28.1  36  2 1 3
30.7  100  2 0 4
35.8  17  3 2 1
37.0  16  2 1 5
41.0  15  4 1 1
50.7  16  4 2 4
56.7  15  4 4 0


Entry 4:
Calculated XRD peak list
Compound: SmHo5Tm
Radiation: Cu Kα (weighted mean of Kα1 and Kα2)
Structure: a PBE-relaxed structure

Structural model:
```
data_SmHo5Tm
_cell_length_a 9.2231
_cell_length_b 3.5793
_cell_length_c 13.7916
_cell_angle_alpha 90.00
_cell_angle_beta 103.56
_cell_angle_gamma 90.00
_symmetry_space_group_name_H-M 'P 1 21/m 1'
_symmetry_Int_Tables_number 11
loop_
_symmetry_equiv_pos_as_xyz
'x,y,z'
'-x,-y,-z'
'-x,y+1/2,-z'
'x,-y+1/2,z'
loop_
_atom_site_label
_atom_site_type_symbol
_atom_site_fract_x
_atom_site_fract_y
_atom_site_fract_z
Sm1 Sm 0.1038 0.2500 0.1223
Ho1 Ho 0.0026 0.7500 0.3757
Ho2 Ho 0.2043 0.2500 0.8805
Ho3 Ho 0.3288 0.2500 0.5096
Ho4 Ho 0.3506 0.7500 0.7230
Ho5 Ho 0.4141 0.7500 0.0786
Tm1 Tm 0.3432 0.7500 0.3049
```

Main lines, low angle first (2θ from 10° to 90°):
Position (°2θ)  I/Imax  hkl
30.6  31  1 0 4
31.1  74  1 1 2
31.9  36  3 0 -3
32.0  70  2 1 0
32.1  100  3 0 1
32.8  45  2 1 -2
33.4  35  0 0 5
61.6  31  4 1 -7


Entry 5:
Calculated XRD peak list
Compound: Ba3Cd5Pd6
Radiation: Cu Kα (weighted mean of Kα1 and Kα2)
Structure: a PBE-relaxed structure

Structural model:
```
data_Ba3Cd5Pd6
_cell_length_a 4.7234
_cell_length_b 10.3310
_cell_length_c 13.9592
_cell_angle_alpha 90.00
_cell_angle_beta 90.00
_cell_angle_gamma 90.00
_symmetry_space_group_name_H-M 'I m m m'
_symmetry_Int_Tables_number 71
_symmetry_space_group_name_Hall '-I 2 2'
loop_
_atom_site_label
_atom_site_type_symbol
_atom_site_fract_x
_atom_site_fract_y
_atom_site_fract_z
Ba1 Ba 0.0000 0.0000 0.0000
Ba2 Ba 0.0000 0.0000 0.3186
Cd1 Cd 0.0000 0.3345 0.3178
Cd2 Cd 0.0000 0.5000 0.0000
Pd1 Pd 0.0000 0.2050 0.5000
Pd2 Pd 0.0000 0.2754 0.1095
```

Main lines, low angle first (2θ from 10° to 90°):
Position (°2θ)  I/Imax  hkl
26.9  29  1 0 3
32.1  100  1 3 0
32.3  40  0 3 3
34.7  51  0 4 0
37.4  44  1 0 5
38.1  55  2 0 0
41.5  54  1 2 5
60.6  22  1 6 3


Entry 6:
Calculated XRD peak list
Compound: Hf2PaMnC4
Radiation: Cu Kα (weighted mean of Kα1 and Kα2)
Structure: a PBE-relaxed structure

Structural model:
```
data_Hf2PaMnC4
_cell_length_a 3.3014
_cell_length_b 11.2349
_cell_length_c 11.0689
_cell_angle_alpha 90.00
_cell_angle_beta 90.00
_cell_angle_gamma 90.00
_symmetry_space_group_name_H-M 'C m c m'
_symmetry_Int_Tables_number 63
_symmetry_space_group_name_Hall '-C 2c 2'
loop_
_atom_site_label
_atom_site_type_symbol
_atom_site_fract_x
_atom_site_fract_y
_atom_site_fract_z
Hf1 Hf 0.0000 0.1308 0.0456
Pa1 Pa 0.0000 0.4010 0.2500
Mn1 Mn 0.0000 0.3382 0.7500
C1 C 0.0000 0.0691 0.2500
C2 C 0.0000 0.2333 0.6252
C3 C 0.0000 0.5000 0.0000
```

Main lines, low angle first (2θ from 10° to 90°):
Position (°2θ)  I/Imax  hkl
29.0  76  0 2 3
31.9  48  0 4 0
32.4  30  0 0 4
32.6  100  1 1 2
37.2  40  1 3 1
39.9  50  1 3 2
51.9  25  1 5 2
55.7  42  2 0 0